In5S8: calculated powder XRD pattern (CuKα), based on a DFT-relaxed cell (PBE, the Materials Project).

Crystal structure
```
data_In5S8
_space_group_name_H-M_alt 'F -4 3 m'
_space_group_IT_number 216
_space_group_name_Hall 'F -4 2 3'
_cell_length_a 10.8635
_cell_length_b 10.8635
_cell_length_c 10.8635
_cell_angle_alpha 90.00
_cell_angle_beta 90.00
_cell_angle_gamma 90.00
loop_
_atom_site_label
_atom_site_fract_x
_atom_site_fract_y
_atom_site_fract_z
_atom_site_occupancy
In1 0.0000 0.0000 0.0000 1
In2 0.1176 0.1176 0.6176 1
S1 0.1218 0.1218 0.3782 1
S2 0.1344 0.1344 0.8656 1
```

Peak list (8 most intense, 2θ from 5° to 70°, in order of rising 2θ)
- hkl 1 1 1, 14.1 deg, rel. 49
- hkl 2 0 0, 16.3 deg, rel. 19
- hkl 3 1 1, 27.2 deg, rel. 100
- hkl 4 0 0, 33.0 deg, rel. 56
- hkl 3 3 1, 36.0 deg, rel. 16
- hkl 5 1 1, 43.3 deg, rel. 49
- hkl 4 4 0, 47.3 deg, rel. 72
- hkl 5 5 3, 66.1 deg, rel. 21